(1)
# CoO2
Computed XRD peak list, CuKα. Input: DFT lattice parameters and positions (GGA+U).
Neutral-atom scattering factors, no anomalous dispersion.

Peak list (8 most intense, 15° ≤ 2θ ≤ 90°, sorted by position)
d/Å  I_rel
5.325  100
2.392  20
2.228  14
2.019  21
1.804  10
1.609  12
1.404  10
1.293  5

Crystal structure
```
CoO2
1.0
10.6504 0.0000 0.0000
0.0000 1.4181 2.4521
0.0000 -1.4181 2.4521
Co O
2 4
Cartesian
2.6408 -0.7090 2.4521
8.0096 0.7090 2.4521
1.6971 0.7090 1.6336
3.5852 0.7090 3.2714
7.0652 -0.7090 3.2714
8.9533 -0.7090 1.6336
```



(2)
# CoO2
Computed XRD peak list, CuKα. Input: DFT lattice parameters and positions (GGA+U).
Neutral-atom scattering factors, no anomalous dispersion.

Peak list (8 most intense, 15° ≤ 2θ ≤ 90°, sorted by position)
d/Å  I_rel
4.480  88
3.584  41
2.741  100
2.713  55
2.702  93
2.629  37
2.608  74
2.477  43

Crystal structure
```
CoO2
1.0
2.7459 -1.5798 0.0000
2.7459 1.5798 0.0000
-0.4878 0.0000 17.9212
Co O
1 2
Cartesian
0.0000 0.0000 0.0000
3.6504 0.0000 0.5745
4.9570 0.0000 16.2219
```



(3)
# CoO2
Computed XRD peak list, CuKα. Input: DFT lattice parameters and positions (GGA+U).
Neutral-atom scattering factors, no anomalous dispersion.

Peak list (8 most intense, 15° ≤ 2θ ≤ 90°, sorted by position)
d/Å  I_rel
4.276  55
4.224  100
3.210  34
2.345  45
2.337  52
2.112  34
1.849  53
1.398  34

Crystal structure
```
CoO2
1.0
5.6100 0.0000 0.0000
-2.8050 4.8584 0.0000
0.0000 0.0000 8.5517
Co O
8 16
Cartesian
0.0000 1.6262 0.0000
-1.3967 4.0453 0.0000
0.0000 3.2390 2.3459
1.4083 0.8131 4.2758
1.3967 4.0453 0.0000
2.8050 1.6195 6.6217
4.2017 0.8131 4.2758
2.8050 3.2322 4.2758
0.0000 0.0000 0.9182
0.0000 0.0000 5.1940
-1.2276 2.5302 1.1103
0.0000 1.5899 3.3427
-1.4281 4.0635 3.3427
1.3769 0.7950 7.6185
0.0000 3.2390 7.5934
1.2276 2.5302 1.1103
0.0000 4.6565 1.1103
2.8050 0.2020 5.3862
1.5774 2.3282 5.3862
2.8050 1.6195 3.3175
1.4281 4.0635 3.3427
4.2331 0.7950 7.6185
2.8050 3.2685 7.6185
4.0326 2.3282 5.3862
```



(4)
# CoO2
Computed XRD peak list, CuKα. Input: DFT lattice parameters and positions (GGA+U).
Neutral-atom scattering factors, no anomalous dispersion.

Peak list (8 most intense, 15° ≤ 2θ ≤ 90°, sorted by position)
d/Å  I_rel
5.214  75
4.345  34
3.330  53
3.303  100
3.226  86
3.109  66
2.965  47
2.806  31

Crystal structure
```
CoO2
1.0
1.3297 -26.0689 0.0000
1.3297 26.0689 0.0000
0.0000 0.0000 3.3297
Co O
1 2
Cartesian
0.0000 0.0000 0.0000
1.3297 1.2031 0.0000
1.3297 -1.2031 0.0000
```